(1)
For BeRe2W, a crystal structure in Alexandria, relaxed with PBE gives the calculated X-ray diffraction stick pattern in this record (Cu Ka).
Lines closer than 0.1° are merged.

Largest 8 diffraction maxima, in order of falling intensity, 5° ≤ 2θ ≤ 70°:
2θ = 41.91°, d 2.156, rel. 100
2θ = 42.41°, d 2.131, rel. 24
2θ = 42.56°, d 2.124, rel. 24
2θ = 23.40°, d 3.802, rel. 22
2θ = 61.65°, d 1.504, rel. 16
2θ = 20.84°, d 4.262, rel. 15
2θ = 30.78°, d 2.905, rel. 13
2θ = 59.87°, d 1.545, rel. 9

```
data_BeRe2W
_chemical_formula_sum 'Be1 Re2 W1'
_cell_length_a 5.0046
_cell_length_b 5.0046
_cell_length_c 4.2480
_cell_angle_alpha 115.05
_cell_angle_beta 115.05
_cell_angle_gamma 35.96
_symmetry_space_group_name_H-M 'P 1'
_symmetry_Int_Tables_number 1
loop_
_symmetry_equiv_pos_as_xyz
'x,y,z'
loop_
_atom_site_label
_atom_site_type_symbol
_atom_site_fract_x
_atom_site_fract_y
_atom_site_fract_z
Be1 Be 0.0000 0.0000 0.0000
Re1 Re 0.4934 0.4934 0.4923
Re2 Re 0.7414 0.7414 0.2392
W1 W 0.2464 0.2464 0.7442
```

(2)
For Be17ZnRe, a crystal structure in Alexandria, relaxed with PBE gives the calculated X-ray diffraction stick pattern in this record (Cu Ka).
Lines closer than 0.1° are merged.

Largest 8 diffraction maxima, in order of falling intensity, 5° ≤ 2θ ≤ 70°:
2θ = 16.33°, d 5.430, rel. 100
2θ = 24.59°, d 3.620, rel. 90
2θ = 35.05°, d 2.560, rel. 59
2θ = 50.42°, d 1.810, rel. 52
2θ = 36.02°, d 2.493, rel. 27
2θ = 29.67°, d 3.011, rel. 26
2θ = 21.64°, d 4.106, rel. 25
2θ = 51.15°, d 1.786, rel. 25

```
data_Be17ZnRe
_chemical_formula_sum 'Be17 Zn1 Re1'
_cell_length_a 5.5306
_cell_length_b 5.5306
_cell_length_c 5.5306
_cell_angle_alpha 81.72
_cell_angle_beta 81.72
_cell_angle_gamma 81.72
_symmetry_space_group_name_H-M 'P 1'
_symmetry_Int_Tables_number 1
loop_
_symmetry_equiv_pos_as_xyz
'x,y,z'
loop_
_atom_site_label
_atom_site_type_symbol
_atom_site_fract_x
_atom_site_fract_y
_atom_site_fract_z
Be1 Be 0.0558 0.0558 0.0558
Be2 Be 0.1465 0.1465 0.6589
Be3 Be 0.1465 0.6589 0.1465
Be4 Be 0.1576 0.4640 0.8478
Be5 Be 0.1576 0.8478 0.4640
Be6 Be 0.2557 0.2557 0.2557
Be7 Be 0.3104 0.8176 0.8176
Be8 Be 0.4640 0.1576 0.8478
Be9 Be 0.4640 0.8478 0.1576
Be10 Be 0.5043 0.5043 0.9913
Be11 Be 0.5043 0.9913 0.5043
Be12 Be 0.6589 0.1465 0.1465
Be13 Be 0.8176 0.3104 0.8176
Be14 Be 0.8176 0.8176 0.3104
Be15 Be 0.8478 0.1576 0.4640
Be16 Be 0.8478 0.4640 0.1576
Be17 Be 0.9913 0.5043 0.5043
Zn1 Zn 0.5415 0.5415 0.5415
Re1 Re 0.8293 0.8293 0.8293
```

(3)
For ZrBeRe, a crystal structure in Alexandria, relaxed with PBE gives the calculated X-ray diffraction stick pattern in this record (Cu Ka).
Lines closer than 0.1° are merged.

Largest 8 diffraction maxima, in order of falling intensity, 5° ≤ 2θ ≤ 70°:
2θ = 41.50°, d 2.176, rel. 100
2θ = 21.46°, d 4.142, rel. 72
2θ = 42.14°, d 2.144, rel. 49
2θ = 35.21°, d 2.549, rel. 43
2θ = 25.12°, d 3.545, rel. 42
2θ = 43.63°, d 2.075, rel. 24
2θ = 43.74°, d 2.070, rel. 22
2θ = 67.47°, d 1.388, rel. 22

```
data_ZrBeRe
_chemical_formula_sum 'Zr2 Be2 Re2'
_cell_length_a 5.0609
_cell_length_b 5.0609
_cell_length_c 5.0609
_cell_angle_alpha 119.51
_cell_angle_beta 119.27
_cell_angle_gamma 91.06
_symmetry_space_group_name_H-M 'P 1'
_symmetry_Int_Tables_number 1
loop_
_symmetry_equiv_pos_as_xyz
'x,y,z'
loop_
_atom_site_label
_atom_site_type_symbol
_atom_site_fract_x
_atom_site_fract_y
_atom_site_fract_z
Zr1 Zr 0.3780 0.1280 0.2500
Zr2 Zr 0.6220 0.8720 0.7500
Be1 Be 0.0000 0.0000 0.5000
Be2 Be 0.0000 0.5000 0.0000
Re1 Re 0.0000 0.5000 0.5000
Re2 Re 0.5000 0.5000 0.0000
```